# 1
Simulated powder XRD pattern
Compound: Sn5SbAs4
Radiation: Cu Kα
Structure: a crystal structure in Alexandria, relaxed with PBE

Top 10 peaks for 15° ≤ 2θ ≤ 90°, in order of rising 2θ:
hkl  2θ (°)  I (rel.)
1 0 0  20.77  100
0 0 10  30.68  48
1 1 0  36.38  96
0 1 10  37.34  43
1 1 10  48.31  83
3 0 0  65.46  18
1 2 10  66.09  16
3 0 10  74.02  24
1 1 20  75.80  20
2 2 10  85.38  17

Crystal structure
a = 4.9392 Å, b = 4.9392 Å, c = 29.1424 Å
α = 90.00°, β = 90.00°, γ = 120.00°
Space group P3m1 (No. 156)
Unique sites:
Sn (0.0000, 0.0000, 0.0000) x1
Sn (0.0000, 0.0000, 0.1949) x1
Sn (0.0000, 0.0000, 0.3909) x1
Sn (0.0000, 0.0000, 0.5856) x1
Sn (0.0000, 0.0000, 0.7928) x1
Sn (0.3333, 0.6667, 0.0952) x1
Sn (0.3333, 0.6667, 0.2930) x1
Sn (0.3333, 0.6667, 0.4909) x1
Sn (0.3333, 0.6667, 0.6922) x1
Sn (0.3333, 0.6667, 0.8945) x1
Sb (0.0000, 0.0000, 0.6894) x1
Sb (0.0000, 0.0000, 0.8961) x1
As (0.0000, 0.0000, 0.0967) x1
As (0.0000, 0.0000, 0.2928) x1
As (0.0000, 0.0000, 0.4890) x1
As (0.3333, 0.6667, 0.1942) x1
As (0.3333, 0.6667, 0.3917) x1
As (0.3333, 0.6667, 0.5899) x1
As (0.3333, 0.6667, 0.7930) x1
As (0.3333, 0.6667, 0.9960) x1


# 2
Simulated powder XRD pattern
Compound: Sn4SbAs3
Radiation: Cu Kα
Structure: a crystal structure in Alexandria, relaxed with PBE

Top 10 peaks for 15° ≤ 2θ ≤ 90°, in order of rising 2θ:
hkl  2θ (°)  I (rel.)
1 0 4  23.38  100
0 1 8  28.93  15
0 0 12  29.32  33
1 1 0  37.20  88
0 1 14  40.73  16
0 2 4  44.40  19
1 0 16  45.22  17
1 1 12  48.06  52
2 1 4  59.27  16
3 0 0  67.08  16

Crystal structure
a = 4.8336 Å, b = 4.8336 Å, c = 36.5479 Å
α = 90.00°, β = 90.00°, γ = 120.00°
Space group R3m (No. 160, hexagonal axes)
Unique sites:
Sn (0.0000, 0.0000, 0.0000) x3
Sn (0.0000, 0.0000, 0.2246) x3
Sn (0.0000, 0.0000, 0.4874) x3
Sn (0.0000, 0.0000, 0.7331) x3
Sb (0.0000, 0.0000, 0.9185) x3
As (0.0000, 0.0000, 0.1516) x3
As (0.0000, 0.0000, 0.4125) x3
As (0.0000, 0.0000, 0.6586) x3


# 3
Simulated powder XRD pattern
Compound: Sr2SnSbAs
Radiation: Cu Kα
Structure: a crystal structure in Alexandria, relaxed with PBE

Top 10 peaks for 15° ≤ 2θ ≤ 90°, in order of rising 2θ:
hkl  2θ (°)  I (rel.)
1 0 1  17.21  44
2 0 -1  25.03  41
0 1 2  25.59  100
2 0 -2  26.58  67
1 1 2  30.89  30
0 1 3  31.63  77
2 1 1  35.72  43
2 1 -3  36.48  35
0 2 0  39.69  54
2 1 -4  41.26  44

Crystal structure
a = 7.1175 Å, b = 4.5405 Å, c = 11.3139 Å
α = 90.00°, β = 106.52°, γ = 90.00°
Space group P2_1/m (No. 11)
Unique sites:
Sr (0.1537, 0.2500, 0.3771) x2
Sr (0.2211, 0.7500, 0.9801) x2
Sn (0.3453, 0.2500, 0.7772) x2
Sb (0.3451, 0.7500, 0.6135) x2
As (0.0184, 0.7500, 0.1828) x2


# 4
Simulated powder XRD pattern
Compound: Sr2SbAs
Radiation: Cu Kα
Structure: a crystal structure in Alexandria, relaxed with PBE

Top 10 peaks for 15° ≤ 2θ ≤ 90°, in order of rising 2θ:
hkl  2θ (°)  I (rel.)
1 0 4  27.77  100
0 1 5  29.60  7
0 1 8  36.56  43
0 0 12  40.94  9
1 1 0  42.61  32
0 2 4  51.63  18
2 0 8  57.37  11
1 1 12  60.57  16
2 1 4  69.10  15
1 2 8  74.03  11

Crystal structure
a = 4.2433 Å, b = 4.2433 Å, c = 26.4540 Å
α = 90.00°, β = 90.00°, γ = 120.00°
Space group R-3m (No. 166, hexagonal axes)
Unique sites:
Sr (0.0000, 0.0000, 0.2389) x6
Sb (0.0000, 0.0000, 0.0000) x3
As (0.0000, 0.0000, 0.5000) x3


# 5
Simulated powder XRD pattern
Compound: SrSbAs
Radiation: Cu Kα
Structure: a crystal structure in Alexandria, relaxed with PBE

Top 10 peaks for 15° ≤ 2θ ≤ 90°, in order of rising 2θ:
hkl  2θ (°)  I (rel.)
0 0 2  19.33  26
1 0 -2  25.03  15
0 0 3  29.17  32
1 0 2  31.22  21
1 1 1  31.96  100
1 1 -2  32.40  91
2 0 -1  40.59  29
0 2 0  41.14  30
0 1 4  44.54  21
2 2 -1  59.17  19

Crystal structure
a = 4.4469 Å, b = 4.3880 Å, c = 9.3998 Å
α = 90.00°, β = 102.34°, γ = 90.00°
Space group P2_1/m (No. 11)
Unique sites:
Sr (0.0895, 0.2500, 0.1975) x2
Sb (0.2857, 0.7500, 0.5090) x2
As (0.4703, 0.2500, 0.9291) x2


# 6
Simulated powder XRD pattern
Compound: SrSbAs
Radiation: Cu Kα
Structure: a crystal structure in Alexandria, relaxed with PBE

Top 10 peaks for 15° ≤ 2θ ≤ 90°, in order of rising 2θ:
hkl  2θ (°)  I (rel.)
1 -1 0  27.71  100
0 0 3  29.40  35
0 2 0  39.21  18
2 0 0  39.97  44
1 -1 3  41.69  30
2 0 3  50.39  15
0 2 -3  51.20  9
2 -2 0  57.23  11
3 -1 0  65.29  9
2 -2 3  66.86  8

Crystal structure
a = 4.5111 Å, b = 4.6029 Å, c = 9.1300 Å
α = 86.72°, β = 89.99°, γ = 90.00°
Space group P1 (No. 1)
Unique sites:
Sr (0.0000, 0.0000, 0.0000) x1
Sr (0.4995, 0.4703, 0.3359) x1
Sb (0.0070, 0.9543, 0.6288) x1
Sb (0.5070, 0.5371, 0.7069) x1
As (0.5000, 0.5029, 0.9926) x1
As (0.9995, 0.9671, 0.3433) x1


# 7
Simulated powder XRD pattern
Compound: Sr6Sb3As
Radiation: Cu Kα
Structure: a crystal structure in Alexandria, relaxed with PBE

Top 10 peaks for 15° ≤ 2θ ≤ 90°, in order of rising 2θ:
hkl  2θ (°)  I (rel.)
1 1 1  21.44  74
1 1 -3  21.70  71
1 0 2  25.52  64
2 1 -3  25.71  87
1 1 -4  27.87  55
2 2 -2  30.32  89
2 2 -1  31.20  67
1 3 0  33.96  100
3 1 -1  38.15  96
3 1 -5  38.64  96

Crystal structure
a = 8.0665 Å, b = 8.6378 Å, c = 13.9601 Å
α = 90.00°, β = 124.36°, γ = 90.00°
Space group P2_1/c (No. 14)
Unique sites:
Sr (0.0992, 0.0718, 0.2432) x4
Sr (0.2579, 0.6987, 0.0779) x4
Sr (0.3726, 0.1803, 0.0635) x4
Sb (0.2823, 0.0783, 0.7558) x4
Sb (0.5000, 0.0000, 0.5000) x2
As (0.0000, 0.0000, 0.0000) x2


# 8
Simulated powder XRD pattern
Compound: TaSbTe2As
Radiation: Cu Kα
Structure: a crystal structure in Alexandria, relaxed with PBE

Top 10 peaks for 15° ≤ 2θ ≤ 90°, in order of rising 2θ:
hkl  2θ (°)  I (rel.)
0 0 1  16.17  39
1 0 0  16.67  70
1 0 1  23.30  24
1 1 1  28.79  56
0 0 2  32.68  54
2 0 0  33.70  100
2 0 2  47.65  75
2 2 0  48.40  36
2 2 2  59.63  38
4 2 2  89.91  26

Crystal structure
a = 5.3196 Å, b = 5.3196 Å, c = 5.4801 Å
α = 90.00°, β = 90.00°, γ = 90.00°
Space group P4/mmm (No. 123)
Unique sites:
Ta (0.0000, 0.0000, 0.0000) x1
Sb (0.0000, 0.0000, 0.5000) x1
Te (0.0000, 0.5000, 0.0000) x2
As (0.5000, 0.5000, 0.5000) x1


# 9
Simulated powder XRD pattern
Compound: Tb6SbAs5
Radiation: Cu Kα
Structure: a crystal structure in Alexandria, relaxed with PBE

Top 10 peaks for 15° ≤ 2θ ≤ 90°, in order of rising 2θ:
hkl  2θ (°)  I (rel.)
2 0 0  26.06  4
0 0 2  26.09  13
1 3 1  30.21  100
2 0 2  43.24  74
2 0 -4  51.20  8
0 0 4  53.65  26
4 0 -4  62.81  12
3 3 -5  71.27  33
4 6 -4  79.30  18
2 0 -6  79.38  6

Crystal structure
a = 7.2538 Å, b = 12.5523 Å, c = 7.2437 Å
α = 90.00°, β = 109.51°, γ = 90.00°
Space group C2/m (No. 12)
Unique sites:
Tb (0.2410, 0.0000, 0.2545) x4
Tb (0.2427, 0.1720, 0.7445) x8
Sb (0.0000, 0.5000, 0.0000) x2
As (0.0000, 0.0000, 0.5000) x2
As (0.0000, 0.1669, 0.0000) x4
As (0.0000, 0.3360, 0.5000) x4


# 10
Simulated powder XRD pattern
Compound: Tb7SbAs5
Radiation: Cu Kα
Structure: a crystal structure in Alexandria, relaxed with PBE

Top 10 peaks for 15° ≤ 2θ ≤ 90°, in order of rising 2θ:
hkl  2θ (°)  I (rel.)
1 1 4  26.75  21
0 2 7  28.78  88
1 3 2  30.05  100
1 3 3  31.17  81
0 2 8  32.17  22
1 1 9  40.26  23
2 0 0  43.51  68
1 5 5  43.86  36
0 6 5  44.02  21
2 2 7  53.01  32

Crystal structure
a = 4.1602 Å, b = 13.6124 Å, c = 24.3930 Å
α = 90.00°, β = 90.00°, γ = 90.00°
Space group Cmcm (No. 63)
Unique sites:
Tb (0.0000, 0.0329, 0.2500) x4
Tb (0.0000, 0.1364, 0.5347) x8
Tb (0.0000, 0.3240, 0.1747) x8
Tb (0.0000, 0.4090, 0.6052) x8
Sb (0.0000, 0.2988, 0.7500) x4
As (0.0000, 0.0435, 0.6429) x8
As (0.0000, 0.2281, 0.0732) x8
As (0.0000, 0.5000, 0.0000) x4


# 11
Simulated powder XRD pattern
Compound: Tb4SbAs3
Radiation: Cu Kα
Structure: a crystal structure in Alexandria, relaxed with PBE

Top 10 peaks for 15° ≤ 2θ ≤ 90°, in order of rising 2θ:
hkl  2θ (°)  I (rel.)
0 2 1  25.94  15
2 0 1  30.04  100
2 4 1  42.98  62
0 0 2  43.08  13
4 4 0  53.27  13
0 4 2  53.41  13
4 0 2  62.44  12
4 4 2  70.83  22
4 8 0  78.72  12
2 4 3  78.91  13

Crystal structure
a = 8.4287 Å, b = 11.8991 Å, c = 4.1991 Å
α = 90.00°, β = 90.00°, γ = 90.00°
Space group Cmmm (No. 65)
Unique sites:
Tb (0.0000, 0.2446, 0.0000) x4
Tb (0.2389, 0.0000, 0.5000) x4
Sb (0.0000, 0.5000, 0.0000) x2
As (0.0000, 0.0000, 0.0000) x2
As (0.2500, 0.2500, 0.5000) x4


# 12
Simulated powder XRD pattern
Compound: Tb6Sb2TeAs3
Radiation: Cu Kα
Structure: a crystal structure in Alexandria, relaxed with PBE

Top 10 peaks for 15° ≤ 2θ ≤ 90°, in order of rising 2θ:
hkl  2θ (°)  I (rel.)
3 1 0  25.65  7
6 0 0  29.62  100
2 0 -4  42.16  12
7 1 -2  42.22  24
0 2 0  42.57  38
6 2 0  52.71  20
2 2 -4  61.47  8
8 2 -4  69.43  10
1 3 -2  69.98  17
12 2 0  77.70  8

Crystal structure
a = 18.6308 Å, b = 4.2464 Å, c = 8.5746 Å
α = 90.00°, β = 103.92°, γ = 90.00°
Space group C2/m (No. 12)
Unique sites:
Tb (0.0039, 0.0000, 0.2335) x4
Tb (0.1633, 0.5000, 0.0926) x4
Tb (0.1727, 0.5000, 0.5746) x4
Sb (0.1661, 0.0000, 0.8320) x4
Te (0.0000, 0.5000, 0.5000) x2
As (0.0000, 0.5000, 0.0000) x2
As (0.1656, 0.0000, 0.3335) x4